Record 1
Computed X-ray diffraction stick pattern
Compound: V3O5F
Radiation: Cu Kα
Structure: DFT lattice parameters and positions (PBE+U)
Neutral-atom scattering factors, no anomalous dispersion.

Main lines, most intense first (10 to 90 degrees two-theta):
27.31°, I = 100
54.45°, I = 53
36.44°, I = 46
41.52°, I = 20
68.99°, I = 19
56.36°, I = 18
70.77°, I = 8
63.74°, I = 8
63.84°, I = 7
43.84°, I = 7

Atomic structure:
Cell lengths 8.748, 4.615, 4.620 Å; angles 90.00, 90.00, 90.00 degrees
Sites, in units of the cell vectors:
V 0.000 0.226 0.000
V 0.181 0.757 0.448
V 0.319 0.243 0.948
V 0.500 0.774 0.500
V 0.681 0.243 0.948
V 0.819 0.757 0.448
O 0.000 0.938 0.277
O 0.165 0.047 0.763
O 0.165 0.449 0.167
O 0.335 0.551 0.667
O 0.335 0.953 0.263
O 0.500 0.062 0.777
O 0.665 0.551 0.667
O 0.665 0.953 0.263
O 0.835 0.047 0.763
O 0.835 0.449 0.167
F 0.000 0.550 0.667
F 0.500 0.450 0.167

=====

Record 2
Computed X-ray diffraction stick pattern
Compound: CrO
Radiation: Cu Kα
Structure: DFT lattice parameters and positions (PBE+U)
Neutral-atom scattering factors, no anomalous dispersion.

Main lines, most intense first (10 to 90 degrees two-theta):
40.53°, I = 100
34.91°, I = 59
58.67°, I = 57
70.12°, I = 22
73.74°, I = 17
87.71°, I = 8

Atomic structure:
Cell lengths 4.451, 4.451, 4.451 Å; angles 90.00, 90.00, 90.00 degrees
Sites, in units of the cell vectors:
Cr 0.000 0.000 0.000
Cr 0.000 0.500 0.500
Cr 0.500 0.000 0.500
Cr 0.500 0.500 0.000
O 0.000 0.000 0.500
O 0.000 0.500 0.000
O 0.500 0.000 0.000
O 0.500 0.500 0.500

=====

Record 3
Computed X-ray diffraction stick pattern
Compound: Li13Mn2O12
Radiation: Cu Kα
Structure: DFT lattice parameters and positions (PBE+U)
Neutral-atom scattering factors, no anomalous dispersion.

Main lines, most intense first (10 to 90 degrees two-theta):
19.14°, I = 100
19.31°, I = 52
19.60°, I = 50
22.09°, I = 40
22.56°, I = 35
37.28°, I = 35
22.32°, I = 29
36.96°, I = 29
38.17°, I = 26
51.00°, I = 22

Atomic structure:
Cell lengths 5.642, 5.689, 9.571 Å; angles 90.01, 106.33, 119.60 degrees
Sites, in units of the cell vectors:
Li 0.000 0.000 0.000
Li 0.022 0.609 0.502
Li 0.043 0.549 0.077
Li 0.150 0.339 0.680
Li 0.231 0.844 0.788
Li 0.264 0.341 0.285
Li 0.408 0.812 0.406
Li 0.446 0.314 0.919
Li 0.599 0.211 0.176
Li 0.639 0.753 0.668
Li 0.776 0.219 0.796
Li 0.799 0.707 0.280
Li 0.914 0.131 0.424
Mn 0.508 0.271 0.541
Mn 0.520 0.772 0.036
O 0.156 0.951 0.427
O 0.171 0.426 0.931
O 0.292 0.472 0.500
O 0.310 0.959 0.997
O 0.415 0.206 0.721
O 0.443 0.718 0.223
O 0.601 0.839 0.855
O 0.633 0.356 0.367
O 0.726 0.084 0.581
O 0.734 0.588 0.081
O 0.864 0.588 0.658
O 0.874 0.117 0.146

=====

Record 4
Computed X-ray diffraction stick pattern
Compound: GdVO4
Radiation: Cu Kα
Structure: DFT lattice parameters and positions (PBE+U)
Neutral-atom scattering factors, no anomalous dispersion.

Main lines, most intense first (10 to 90 degrees two-theta):
24.39°, I = 100
32.88°, I = 70
48.60°, I = 59
18.41°, I = 39
34.77°, I = 22
61.14°, I = 17
49.99°, I = 16
39.62°, I = 15
56.38°, I = 14
72.29°, I = 13

Atomic structure:
Cell lengths 6.076, 6.076, 6.076 Å; angles 106.18, 106.18, 116.27 degrees
Sites, in units of the cell vectors:
Gd 0.375 0.625 0.750
Gd 0.625 0.375 0.250
V 0.125 0.875 0.250
V 0.875 0.125 0.750
O 0.135 0.701 0.433
O 0.232 0.299 0.933
O 0.299 0.232 0.433
O 0.299 0.865 0.067
O 0.701 0.135 0.933
O 0.701 0.768 0.567
O 0.768 0.701 0.067
O 0.865 0.299 0.567

=====

Record 5
Computed X-ray diffraction stick pattern
Compound: CaDyCo4O12
Radiation: Cu Kα
Structure: DFT lattice parameters and positions (PBE+U)
Neutral-atom scattering factors, no anomalous dispersion.

Main lines, most intense first (10 to 90 degrees two-theta):
34.16°, I = 100
20.69°, I = 99
34.00°, I = 46
60.96°, I = 39
40.14°, I = 34
16.90°, I = 27
11.85°, I = 27
48.79°, I = 22
49.33°, I = 20
48.92°, I = 20

Atomic structure:
Cell lengths 7.467, 5.246, 5.246 Å; angles 89.55, 90.00, 90.00 degrees
Sites, in units of the cell vectors:
Ca 0.000 0.000 0.000
Dy 0.500 0.529 0.529
Co 0.247 0.016 0.508
Co 0.247 0.508 0.016
Co 0.753 0.016 0.508
Co 0.753 0.508 0.016
O 0.000 0.040 0.479
O 0.000 0.479 0.040
O 0.231 0.733 0.733
O 0.252 0.238 0.785
O 0.252 0.785 0.238
O 0.291 0.301 0.301
O 0.500 0.531 0.966
O 0.500 0.966 0.531
O 0.709 0.301 0.301
O 0.748 0.238 0.785
O 0.748 0.785 0.238
O 0.769 0.733 0.733

=====

Record 6
Computed X-ray diffraction stick pattern
Compound: Mn3OF5
Radiation: Cu Kα
Structure: DFT lattice parameters and positions (PBE+U)
Neutral-atom scattering factors, no anomalous dispersion.

Main lines, most intense first (10 to 90 degrees two-theta):
25.29°, I = 100
26.63°, I = 89
33.35°, I = 51
32.80°, I = 47
51.91°, I = 34
49.54°, I = 33
50.68°, I = 26
37.57°, I = 21
56.36°, I = 20
62.73°, I = 18

Atomic structure:
Cell lengths 4.868, 5.799, 8.204 Å; angles 87.02, 89.00, 87.08 degrees
Sites, in units of the cell vectors:
Mn 0.000 0.000 0.000
Mn 0.003 0.334 0.663
Mn 0.470 0.845 0.687
Mn 0.500 0.500 0.000
Mn 0.530 0.155 0.313
Mn 0.997 0.666 0.337
O 0.293 0.784 0.915
O 0.707 0.216 0.085
F 0.186 0.972 0.232
F 0.197 0.635 0.567
F 0.207 0.286 0.895
F 0.310 0.470 0.225
F 0.313 0.139 0.550
F 0.687 0.861 0.450
F 0.690 0.530 0.775
F 0.793 0.714 0.105
F 0.803 0.365 0.433
F 0.814 0.028 0.768

=====

Record 7
Computed X-ray diffraction stick pattern
Compound: FeOF
Radiation: Cu Kα
Structure: DFT lattice parameters and positions (PBE+U)
Neutral-atom scattering factors, no anomalous dispersion.

Main lines, most intense first (10 to 90 degrees two-theta):
26.60°, I = 100
52.31°, I = 58
34.61°, I = 56
66.47°, I = 26
39.64°, I = 18
54.79°, I = 16
59.74°, I = 10
42.67°, I = 9
37.97°, I = 8
85.39°, I = 7

Atomic structure:
Cell lengths 14.216, 3.096, 14.218 Å; angles 90.00, 90.07, 90.00 degrees
Sites, in units of the cell vectors:
Fe 0.000 0.000 0.000
Fe 0.000 0.000 0.335
Fe 0.142 0.500 0.168
Fe 0.154 0.500 0.489
Fe 0.159 0.500 0.852
Fe 0.321 0.000 0.347
Fe 0.327 0.000 0.994
Fe 0.333 0.000 0.667
Fe 0.474 0.500 0.835
Fe 0.475 0.500 0.500
Fe 0.505 0.500 0.172
Fe 0.658 0.000 0.011
Fe 0.659 0.000 0.328
Fe 0.667 0.000 0.668
Fe 0.801 0.500 0.842
Fe 0.802 0.500 0.495
Fe 0.808 0.500 0.168
Fe 0.986 0.000 0.671
O 0.048 0.500 0.933
O 0.054 0.500 0.274
O 0.085 0.000 0.444
O 0.090 0.000 0.104
O 0.221 0.000 0.904
O 0.256 0.500 0.401
O 0.384 0.500 0.604
O 0.390 0.500 0.943
O 0.420 0.000 0.772
O 0.426 0.000 0.435
O 0.551 0.000 0.240
O 0.588 0.500 0.066
O 0.716 0.500 0.942
O 0.721 0.500 0.272
O 0.721 0.500 0.605
O 0.753 0.000 0.436
O 0.756 0.000 0.773
O 0.759 0.000 0.105
F 0.056 0.500 0.607
F 0.090 0.000 0.768
F 0.216 0.000 0.572
F 0.222 0.000 0.233
F 0.250 0.500 0.733
F 0.258 0.500 0.073
F 0.382 0.500 0.268
F 0.419 0.000 0.110
F 0.553 0.000 0.571
F 0.553 0.000 0.895
F 0.588 0.500 0.734
F 0.590 0.500 0.408
F 0.884 0.000 0.904
F 0.889 0.000 0.237
F 0.889 0.000 0.568
F 0.920 0.500 0.403
F 0.923 0.500 0.739
F 0.924 0.500 0.069

=====

Record 8
Computed X-ray diffraction stick pattern
Compound: MoO2
Radiation: Cu Kα
Structure: DFT lattice parameters and positions (PBE+U)
Neutral-atom scattering factors, no anomalous dispersion.

Main lines, most intense first (10 to 90 degrees two-theta):
26.23°, I = 100
33.83°, I = 58
51.28°, I = 32
33.96°, I = 19
53.98°, I = 17
51.52°, I = 16
51.36°, I = 16
65.12°, I = 10
37.35°, I = 10
37.53°, I = 9

Atomic structure:
Cell lengths 3.173, 4.816, 5.736 Å; angles 90.00, 123.32, 90.00 degrees
Sites, in units of the cell vectors:
Mo 0.000 0.000 0.000
Mo 0.000 0.500 0.500
O 0.290 0.198 0.793
O 0.290 0.302 0.293
O 0.710 0.698 0.707
O 0.710 0.802 0.207